[1]
Structure and theoretical PXRD pattern of SmTa3O9 (a crystal structure in Alexandria, relaxed with PBE; λ = 1.5418 Å (Cu Kα)).
Lines closer than 0.1° are merged.

Principal peaks in the range 2θ from 10° to 90°, most intense first:
| two_theta | I_rel |
| --- | --- |
| 26.5 | 100 |
| 31.1 | 81 |
| 27.7 | 75 |
| 23.5 | 68 |
| 33.3 | 57 |
| 30.5 | 45 |

Cell and atoms:
```
data_SmTa3O9
_symmetry_space_group_name_H-M 'P 1'
_symmetry_Int_Tables_number 1
_cell_length_a 5.390
_cell_length_b 7.577
_cell_length_c 8.313
_cell_angle_alpha 90.00
_cell_angle_beta 92.46
_cell_angle_gamma 90.00
loop_
_symmetry_equiv_pos_as_xyz
'x,y,z'
loop_
_atom_site_label
_atom_site_fract_x
_atom_site_fract_y
_atom_site_fract_z
Sm1 0.035 0.250 0.434
Sm2 0.965 0.750 0.566
Ta1 0.000 0.000 0.000
Ta2 0.000 0.500 0.000
Ta3 0.472 0.007 0.697
Ta4 0.472 0.493 0.697
Ta5 0.528 0.507 0.303
Ta6 0.528 0.993 0.303
O1 0.088 0.250 0.981
O2 0.153 0.560 0.786
O3 0.153 0.940 0.786
O4 0.262 0.540 0.468
O5 0.262 0.960 0.468
O6 0.320 0.549 0.122
O7 0.320 0.951 0.122
O8 0.346 0.250 0.658
O9 0.433 0.250 0.314
O10 0.567 0.750 0.686
O11 0.654 0.750 0.342
O12 0.680 0.049 0.878
O13 0.680 0.451 0.878
O14 0.738 0.040 0.532
O15 0.738 0.460 0.532
O16 0.847 0.060 0.214
O17 0.847 0.440 0.214
O18 0.912 0.750 0.019
```



[2]
Structure and theoretical PXRD pattern of Tb2SmTcO8 (a crystal structure in Alexandria, relaxed with PBE; λ = 1.5418 Å (Cu Kα)).
Lines closer than 0.1° are merged.

Principal peaks in the range 2θ from 10° to 90°, most intense first:
| two_theta | I_rel |
| --- | --- |
| 24.8 | 100 |
| 31.6 | 87 |
| 48.1 | 68 |
| 35.3 | 25 |
| 61.0 | 19 |
| 57.3 | 17 |

Cell and atoms:
```
data_Tb2SmTcO8
_symmetry_space_group_name_H-M 'P 1'
_symmetry_Int_Tables_number 1
_cell_length_a 5.086
_cell_length_b 5.086
_cell_length_c 6.829
_cell_angle_alpha 90.00
_cell_angle_beta 90.00
_cell_angle_gamma 90.12
loop_
_symmetry_equiv_pos_as_xyz
'x,y,z'
loop_
_atom_site_label
_atom_site_fract_x
_atom_site_fract_y
_atom_site_fract_z
Tb1 0.000 0.000 0.250
Tb2 0.000 0.000 0.750
Sm1 0.500 0.500 0.000
Tc1 0.500 0.500 0.500
O1 0.188 0.188 0.000
O2 0.235 0.235 0.500
O3 0.318 0.682 0.296
O4 0.318 0.682 0.704
O5 0.682 0.318 0.296
O6 0.682 0.318 0.704
O7 0.765 0.765 0.500
O8 0.812 0.812 0.000
```



[3]
Structure and theoretical PXRD pattern of Tb2SmUO8 (a crystal structure in Alexandria, relaxed with PBE; λ = 1.5418 Å (Cu Kα)).
Lines closer than 0.1° are merged.

Principal peaks in the range 2θ from 10° to 90°, most intense first:
| two_theta | I_rel |
| --- | --- |
| 28.3 | 100 |
| 28.8 | 95 |
| 47.5 | 66 |
| 32.9 | 44 |
| 56.5 | 44 |
| 55.7 | 31 |

Cell and atoms:
```
data_Tb2SmUO8
_symmetry_space_group_name_H-M 'P 1'
_symmetry_Int_Tables_number 1
_cell_length_a 3.901
_cell_length_b 5.374
_cell_length_c 7.603
_cell_angle_alpha 90.00
_cell_angle_beta 90.00
_cell_angle_gamma 90.00
loop_
_symmetry_equiv_pos_as_xyz
'x,y,z'
loop_
_atom_site_label
_atom_site_fract_x
_atom_site_fract_y
_atom_site_fract_z
Tb1 0.000 0.000 0.248
Tb2 0.000 0.000 0.752
Sm1 0.500 0.500 0.500
U1 0.500 0.500 0.000
O1 0.000 0.243 0.500
O2 0.000 0.270 0.000
O3 0.000 0.730 0.000
O4 0.000 0.757 0.500
O5 0.500 0.258 0.224
O6 0.500 0.258 0.776
O7 0.500 0.742 0.224
O8 0.500 0.742 0.776
```



Which formula does entry 2 have?
Tb2SmTcO8